(1)
This entry pairs a crystal structure of Sr2ZnIO6 with its simulated XRD peak list. Radiation: λ = 1.5418 Å (Cu Kα). Structure: a structure optimized by DFT (PBE).
Lines closer than 0.1° are merged.

Main lines, sorted by position (10 to 90 degrees two-theta):
2theta	I_rel	hkl
30.89	98	1 1 0
31.20	100	1 0 4
44.48	64	0 2 4
54.94	23	3 0 0
55.14	41	2 1 4
55.72	19	0 1 8
64.37	18	2 2 0
65.08	19	2 0 8
73.27	17	1 3 4
73.77	18	3 -2 8

```
data_Sr2ZnIO6
_chemical_formula_sum 'Sr6 Zn3 I3 O18'
_cell_length_a 5.7889
_cell_length_b 5.7889
_cell_length_c 13.9749
_cell_angle_alpha 90.00
_cell_angle_beta 90.00
_cell_angle_gamma 120.00
_symmetry_space_group_name_H-M 'R -3'
_symmetry_Int_Tables_number 148
_symmetry_space_group_name_Hall '-R 3'
loop_
_atom_site_label
_atom_site_type_symbol
_atom_site_fract_x
_atom_site_fract_y
_atom_site_fract_z
Sr1 Sr 0.0000 0.0000 0.2505
Zn1 Zn 0.0000 0.0000 0.0000
I1 I 0.0000 0.0000 0.5000
O1 O 0.0109 0.5602 0.2489
```



(2)
This entry pairs a crystal structure of TaIO6 with its simulated XRD peak list. Radiation: λ = 1.5418 Å (Cu Kα). Structure: a structure optimized by DFT (PBE).
Lines closer than 0.1° are merged.

Main lines, sorted by position (10 to 90 degrees two-theta):
2theta	I_rel	hkl
18.26	100	0 2 0
24.96	84	1 1 -1
30.97	41	1 1 1
36.31	15	1 3 -1
40.83	34	1 3 1
42.37	32	2 2 0
51.21	13	2 2 -2
54.01	22	0 4 2
57.71	14	3 1 -1
64.31	16	1 3 -3

```
data_TaIO6
_chemical_formula_sum 'Ta2 I2 O12'
_cell_length_a 4.8843
_cell_length_b 9.7147
_cell_length_c 4.8840
_cell_angle_alpha 90.00
_cell_angle_beta 103.50
_cell_angle_gamma 90.00
_symmetry_space_group_name_H-M 'C 1 2/m 1'
_symmetry_Int_Tables_number 12
_symmetry_space_group_name_Hall '-C 2y'
loop_
_atom_site_label
_atom_site_type_symbol
_atom_site_fract_x
_atom_site_fract_y
_atom_site_fract_z
Ta1 Ta 0.0000 0.0000 0.0000
I1 I 0.0000 0.5000 0.5000
O1 O 0.2305 0.3691 0.7360
O2 O 0.2489 0.0000 0.7430
```



(3)
This entry pairs a crystal structure of TaIO with its simulated XRD peak list. Radiation: λ = 1.5418 Å (Cu Kα). Structure: a structure optimized by DFT (PBE).
Lines closer than 0.1° are merged.

Main lines, sorted by position (10 to 90 degrees two-theta):
2theta	I_rel	hkl
22.87	100	0 1 1
24.73	57	0 1 -1
30.26	78	1 0 -2
30.42	31	1 0 2
30.64	43	1 1 1
33.92	33	1 1 2
36.61	37	1 0 -3
36.81	47	1 0 3
40.79	33	0 1 4
41.49	34	1 -1 2

```
data_TaIO
_chemical_formula_sum 'Ta2 I2 O2'
_cell_length_a 3.7322
_cell_length_b 4.1236
_cell_length_c 9.9025
_cell_angle_alpha 83.65
_cell_angle_beta 89.22
_cell_angle_gamma 80.18
_symmetry_space_group_name_H-M 'P -1'
_symmetry_Int_Tables_number 2
_symmetry_space_group_name_Hall '-P 1'
loop_
_atom_site_label
_atom_site_type_symbol
_atom_site_fract_x
_atom_site_fract_y
_atom_site_fract_z
Ta1 Ta 0.1977 0.2828 0.0778
I1 I 0.2811 0.7055 0.7015
O1 O 0.2847 0.7868 0.0318
```



(4)
This entry pairs a crystal structure of TbTaIO4 with its simulated XRD peak list. Radiation: λ = 1.5418 Å (Cu Kα). Structure: a structure optimized by DFT (PBE).
Lines closer than 0.1° are merged.

Main lines, sorted by position (10 to 90 degrees two-theta):
2theta	I_rel	hkl
25.37	100	3 1 0
25.75	90	3 1 -1
27.21	54	0 0 2
27.82	92	0 2 0
31.67	74	3 1 1
32.60	53	3 1 -2
39.31	41	0 2 2
41.28	36	6 0 -1
50.51	45	6 2 -1
57.51	32	0 4 0

```
data_TbTaIO4
_chemical_formula_sum 'Tb4 Ta4 I4 O16'
_cell_length_a 13.1346
_cell_length_b 6.4129
_cell_length_c 6.8418
_cell_angle_alpha 90.00
_cell_angle_beta 106.67
_cell_angle_gamma 90.00
_symmetry_space_group_name_H-M 'C 1 2/m 1'
_symmetry_Int_Tables_number 12
_symmetry_space_group_name_Hall '-C 2y'
loop_
_atom_site_label
_atom_site_type_symbol
_atom_site_fract_x
_atom_site_fract_y
_atom_site_fract_z
Tb1 Tb 0.2065 0.0000 0.3220
Ta1 Ta 0.1114 0.0000 0.7078
I1 I 0.0415 0.5000 0.2035
O1 O 0.0389 0.0000 0.3459
O2 O 0.1597 0.0000 0.9901
O3 O 0.1820 0.2282 0.6260
```



(5)
This entry pairs a crystal structure of TmTaIO4 with its simulated XRD peak list. Radiation: λ = 1.5418 Å (Cu Kα). Structure: a structure optimized by DFT (PBE).
Lines closer than 0.1° are merged.

Main lines, sorted by position (10 to 90 degrees two-theta):
2theta	I_rel	hkl
25.70	100	3 1 0
26.09	84	3 1 -1
27.54	53	0 0 2
28.15	91	0 2 0
32.08	72	3 1 1
33.01	54	3 1 -2
39.79	39	0 2 2
41.84	35	6 0 -1
42.84	28	1 1 -3
51.19	44	6 2 -1

```
data_TmTaIO4
_chemical_formula_sum 'Tm4 Ta4 I4 O16'
_cell_length_a 12.9619
_cell_length_b 6.3400
_cell_length_c 6.7617
_cell_angle_alpha 90.00
_cell_angle_beta 106.65
_cell_angle_gamma 90.00
_symmetry_space_group_name_H-M 'C 1 2/m 1'
_symmetry_Int_Tables_number 12
_symmetry_space_group_name_Hall '-C 2y'
loop_
_atom_site_label
_atom_site_type_symbol
_atom_site_fract_x
_atom_site_fract_y
_atom_site_fract_z
Tm1 Tm 0.2068 0.0000 0.3256
Ta1 Ta 0.1122 0.0000 0.7121
I1 I 0.0405 0.5000 0.2058
O1 O 0.0404 0.0000 0.3455
O2 O 0.1604 0.0000 0.9976
O3 O 0.1840 0.2302 0.6289
```



(6)
This entry pairs a crystal structure of Tb3IO7 with its simulated XRD peak list. Radiation: λ = 1.5418 Å (Cu Kα). Structure: a structure optimized by DFT (PBE).
Lines closer than 0.1° are merged.

Main lines, sorted by position (10 to 90 degrees two-theta):
2theta	I_rel	hkl
28.39	99	2 2 0
28.73	100	0 2 2
32.96	45	2 0 2
33.36	22	0 4 0
47.61	59	2 4 2
47.76	17	0 0 4
55.89	23	4 2 2
56.49	28	2 2 4
56.82	13	0 6 2
77.17	15	0 2 6

```
data_Tb3IO7
_chemical_formula_sum 'Tb12 I4 O28'
_cell_length_a 7.7561
_cell_length_b 10.7421
_cell_length_c 7.6178
_cell_angle_alpha 90.00
_cell_angle_beta 90.00
_cell_angle_gamma 90.00
_symmetry_space_group_name_H-M 'C 2 2 21'
_symmetry_Int_Tables_number 20
_symmetry_space_group_name_Hall 'C 2c 2'
loop_
_atom_site_label
_atom_site_type_symbol
_atom_site_fract_x
_atom_site_fract_y
_atom_site_fract_z
Tb1 Tb 0.0363 0.0000 0.0000
Tb2 Tb 0.2340 0.2642 0.7565
I1 I 0.0038 0.5000 0.0000
O1 O 0.0000 0.1322 0.2500
O2 O 0.0000 0.1385 0.7500
O3 O 0.0000 0.4158 0.7500
O4 O 0.1882 0.3771 0.0410
O5 O 0.2193 0.3708 0.4806
```